Record 1
CuP4Se4I: computed X-ray diffraction stick pattern (Cu Kα X-rays), based on a crystal structure in the Materials Project, relaxed with GGA-PBE.
Intensities are scaled so that the largest is 100.

Most intense lines, 10 to 90 degrees two-theta, sorted by position:
two_theta	I/Imax
11.49	63
15.52	38
16.76	24
18.42	24
23.06	59
23.84	26
28.07	88
28.44	100
28.64	29
31.17	70
44.81	26
52.07	41

Atomic structure:
```
CuP4Se4I
1.0
7.4648 -6.4037 0.0000
7.4648 6.4037 0.0000
0.0000 0.0000 12.6090
Cu P Se I
4 16 16 4
Direct
0.0991 0.0991 0.0000
0.4009 0.4009 0.5000
0.5991 0.5991 0.5000
0.9009 0.9009 0.0000
0.0359 0.7460 0.7451
0.1440 0.2215 0.1454
0.2215 0.1440 0.8546
0.2460 0.5359 0.2451
0.2540 0.9641 0.7451
0.2785 0.3560 0.3546
0.3560 0.2785 0.6454
0.4641 0.7540 0.2451
0.5359 0.2460 0.7549
0.6440 0.7215 0.3546
0.7215 0.6440 0.6454
0.7460 0.0359 0.2549
0.7540 0.4641 0.7549
0.7785 0.8560 0.1454
0.8560 0.7785 0.8546
0.9641 0.2540 0.2549
0.0297 0.9703 0.6911
0.0538 0.3520 0.4001
0.1480 0.4462 0.0999
0.1666 0.3334 0.7500
0.3334 0.1666 0.2500
0.3520 0.0538 0.5999
0.4462 0.1480 0.9001
0.4703 0.5297 0.1911
0.5297 0.4703 0.8089
0.5538 0.8520 0.0999
0.6480 0.9462 0.4001
0.6666 0.8334 0.7500
0.8334 0.6666 0.2500
0.8520 0.5538 0.9001
0.9462 0.6480 0.5999
0.9703 0.0297 0.3089
0.1702 0.8298 0.0241
0.3298 0.6702 0.5241
0.6702 0.3298 0.4759
0.8298 0.1702 0.9759
```

=====

Record 2
RbCu2I3: computed X-ray diffraction stick pattern (Cu Kα X-rays), based on a crystal structure in the Materials Project, relaxed with GGA-PBE.
Intensities are scaled so that the largest is 100.

Most intense lines, 10 to 90 degrees two-theta, sorted by position:
two_theta	I/Imax
10.12	25
12.74	10
20.75	11
26.23	100
26.56	22
33.18	10
40.40	20
41.74	18
42.40	21
43.22	9
46.64	11
55.18	13

Atomic structure:
```
RbCu2I3
1.0
13.8987 0.0000 0.0000
0.0000 5.4003 0.0000
0.0000 0.0000 11.2441
Rb Cu I
4 8 12
Direct
0.1862 0.2500 0.0142
0.3138 0.7500 0.5142
0.6862 0.2500 0.4858
0.8138 0.7500 0.9858
0.0082 0.0010 0.3379
0.0082 0.4990 0.3379
0.4918 0.5010 0.8379
0.4918 0.9990 0.8379
0.5082 0.0010 0.1621
0.5082 0.4990 0.1621
0.9918 0.5010 0.6621
0.9918 0.9990 0.6621
0.1021 0.7500 0.8074
0.1086 0.2500 0.5107
0.1461 0.7500 0.2337
0.3539 0.2500 0.7337
0.3914 0.7500 0.0107
0.3979 0.2500 0.3074
0.6021 0.7500 0.6926
0.6086 0.2500 0.9893
0.6461 0.7500 0.2663
0.8539 0.2500 0.7663
0.8914 0.7500 0.4893
0.8979 0.2500 0.1926
```

=====

Record 3
RbCu2I3: computed X-ray diffraction stick pattern (Cu Kα X-rays), based on a crystal structure in the Materials Project, relaxed with GGA-PBE.
Intensities are scaled so that the largest is 100.

Most intense lines, 10 to 90 degrees two-theta, sorted by position:
two_theta	I/Imax
10.28	22
26.05	100
26.28	18
31.20	10
31.73	9
40.91	35
41.35	23
42.02	11
45.69	13
46.10	12
48.64	10
53.15	17

Atomic structure:
```
RbCu2I3
1.0
5.4997 -6.8995 0.0000
5.4997 6.8995 0.0000
0.0000 0.0000 5.6408
Rb Cu I
2 4 6
Direct
0.1841 0.8159 0.7500
0.8159 0.1841 0.2500
0.3406 0.3406 0.0000
0.3406 0.3406 0.5000
0.6594 0.6594 0.0000
0.6594 0.6594 0.5000
0.0876 0.3366 0.7500
0.3366 0.0876 0.2500
0.3876 0.6124 0.2500
0.6124 0.3876 0.7500
0.6634 0.9124 0.7500
0.9124 0.6634 0.2500
```

=====

Record 4
Rb2TaCuI6: computed X-ray diffraction stick pattern (Cu Kα X-rays), based on a crystal structure in the Materials Project, relaxed with GGA-PBE.
Intensities are scaled so that the largest is 100.

Most intense lines, 10 to 90 degrees two-theta, sorted by position:
two_theta	I/Imax
15.42	42
26.87	66
31.12	100
34.91	23
44.59	73
47.46	12
52.83	29
55.37	25
64.89	12
71.56	12
73.72	33
82.16	25

Atomic structure:
```
Rb2TaCuI6
1.0
0.0000 5.7475 5.7475
5.7475 0.0000 5.7475
5.7475 5.7475 0.0000
Rb Ta Cu I
2 1 1 6
Direct
0.2500 0.2500 0.2500
0.7500 0.7500 0.7500
0.0000 0.0000 0.0000
0.5000 0.5000 0.5000
0.2488 0.2488 0.7512
0.2488 0.7512 0.2488
0.2488 0.7512 0.7512
0.7512 0.2488 0.2488
0.7512 0.2488 0.7512
0.7512 0.7512 0.2488
```

=====

Record 5
CuSe3I: computed X-ray diffraction stick pattern (Cu Kα X-rays), based on a crystal structure in the Materials Project, relaxed with GGA-PBE.
Intensities are scaled so that the largest is 100.

Most intense lines, 10 to 90 degrees two-theta, sorted by position:
two_theta	I/Imax
15.58	18
21.73	48
28.15	100
33.42	33
35.58	12
37.84	23
38.06	26
42.07	16
42.31	13
49.81	16
51.53	13
54.92	25

Atomic structure:
```
CuSe3I
1.0
7.0943 4.0959 5.0065
-7.0943 4.0959 5.0065
0.0000 -8.1918 5.0065
Cu Se I
6 18 6
Direct
0.1127 0.1127 0.6091
0.1127 0.6091 0.1127
0.3909 0.8873 0.8873
0.6091 0.1127 0.1127
0.8873 0.3909 0.8873
0.8873 0.8873 0.3909
0.1249 0.3891 0.3891
0.1258 0.1258 0.8622
0.1258 0.8622 0.1258
0.1378 0.8742 0.8742
0.2873 0.2873 0.5462
0.2873 0.5462 0.2873
0.3891 0.1249 0.3891
0.3891 0.3891 0.1249
0.4538 0.7127 0.7127
0.5462 0.2873 0.2873
0.6109 0.6109 0.8751
0.6109 0.8751 0.6109
0.7127 0.4538 0.7127
0.7127 0.7127 0.4538
0.8622 0.1258 0.1258
0.8742 0.1378 0.8742
0.8742 0.8742 0.1378
0.8751 0.6109 0.6109
0.1475 0.5000 0.8525
0.1475 0.8525 0.5000
0.5000 0.1475 0.8525
0.5000 0.8525 0.1475
0.8525 0.1475 0.5000
0.8525 0.5000 0.1475
```

=====

Record 6
CuTeSeI: computed X-ray diffraction stick pattern (Cu Kα X-rays), based on a crystal structure in the Materials Project, relaxed with GGA-PBE.
Intensities are scaled so that the largest is 100.

Most intense lines, 10 to 90 degrees two-theta, sorted by position:
two_theta	I/Imax
14.95	69
23.31	69
24.59	74
27.42	100
29.27	56
29.80	69
30.17	39
30.60	70
31.72	54
44.13	51
44.58	32
48.74	64

Atomic structure:
```
CuTeSeI
1.0
8.4639 0.0000 0.0000
0.0000 4.8664 0.0000
-5.7626 0.0000 11.8485
Cu Te Se I
4 4 4 4
Direct
0.1967 0.1214 0.2509
0.1967 0.3786 0.7509
0.8033 0.6214 0.2491
0.8033 0.8786 0.7491
0.2876 0.0086 0.6487
0.2876 0.4914 0.1487
0.7124 0.5086 0.8513
0.7124 0.9914 0.3513
0.4213 0.7195 0.8401
0.4213 0.7805 0.3401
0.5787 0.2195 0.6599
0.5787 0.2805 0.1599
0.0972 0.1392 0.8926
0.0972 0.3608 0.3926
0.9028 0.6392 0.6074
0.9028 0.8608 0.1074
```

=====

Record 7
In2Cu: computed X-ray diffraction stick pattern (Cu Kα X-rays), based on a crystal structure in the Materials Project, relaxed with GGA-PBE.
Intensities are scaled so that the largest is 100.

Most intense lines, 10 to 90 degrees two-theta, sorted by position:
two_theta	I/Imax
32.94	100
35.19	30
35.33	6
39.66	36
54.06	33
55.73	10
57.34	5
61.72	16
66.24	5
69.09	6
73.33	14
87.77	7

Atomic structure:
```
In2Cu
1.0
7.1865 0.0000 0.0000
0.0000 7.1865 0.0000
0.0000 0.0000 5.1009
In Cu
8 4
Direct
0.1529 0.3471 0.0000
0.1529 0.6529 0.5000
0.3471 0.1529 0.5000
0.3471 0.8471 0.0000
0.6529 0.1529 0.0000
0.6529 0.8471 0.5000
0.8471 0.3471 0.5000
0.8471 0.6529 0.0000
0.0000 0.0000 0.0000
0.0000 0.0000 0.5000
0.5000 0.5000 0.0000
0.5000 0.5000 0.5000
```